(1)
Calculated X-ray powder pattern
Compound: SrYBO4
Radiation: Cu Ka
Structure: a cell relaxed with GGA-PBE

```
data_SrYBO4
_space_group_name_H-M_alt 'P 1 21/m 1'
_space_group_IT_number 11
_space_group_name_Hall '-P 2yb'
_cell_length_a 5.0866
_cell_length_b 5.2740
_cell_length_c 6.8116
_cell_angle_alpha 90.00
_cell_angle_beta 107.77
_cell_angle_gamma 90.00
loop_
_atom_site_label
_atom_site_fract_x
_atom_site_fract_y
_atom_site_fract_z
Sr1 0.2047 0.2500 0.4264
Y1 0.2825 0.2500 0.9602
B1 0.2821 0.7500 0.1933
O1 0.0927 0.7500 0.3243
O2 0.1247 0.7500 0.9636
O3 0.4680 0.5236 0.2335
```

The 10 most intense peaks (10° ≤ 2θ ≤ 90°), by angle:
24.96 deg, d = 3.568 Å, I = 100.0, (1 1 0); 32.41 deg, d = 2.763 Å, I = 25.1, (0 1 2); 32.88 deg, d = 2.724 Å, I = 37.0, (1 1 -2); 34.00 deg, d = 2.637 Å, I = 39.8, (0 2 0); 37.80 deg, d = 2.380 Å, I = 18.7, (1 0 2); 39.04 deg, d = 2.307 Å, I = 27.3, (2 0 -2); 41.63 deg, d = 2.169 Å, I = 23.6, (1 1 2); 44.27 deg, d = 2.046 Å, I = 27.2, (0 2 2); 44.64 deg, d = 2.030 Å, I = 21.5, (1 2 -2); 51.21 deg, d = 1.784 Å, I = 22.9, (2 2 0)

***

(2)
Calculated X-ray powder pattern
Compound: SmFeS
Radiation: Cu Ka
Structure: a cell relaxed with GGA-PBE

```
data_SmFeS
_space_group_name_H-M_alt 'R -3 m'
_space_group_IT_number 166
_space_group_name_Hall '-R 3 2"'
_cell_length_a 4.5188
_cell_length_b 4.5188
_cell_length_c 22.6547
_cell_angle_alpha 90.00
_cell_angle_beta 90.00
_cell_angle_gamma 120.00
loop_
_atom_site_label
_atom_site_fract_x
_atom_site_fract_y
_atom_site_fract_z
Sm1 0.0000 0.0000 0.0851
Fe1 0.0000 0.0000 0.3238
S1 0.0000 0.0000 0.2167
```

The 10 most intense peaks (10° ≤ 2θ ≤ 90°), by angle:
23.06 deg, d = 3.856 Å, I = 85.9, (1 0 1); 23.56 deg, d = 3.776 Å, I = 24.5, (0 0 6); 27.71 deg, d = 3.220 Å, I = 25.4, (1 0 4); 30.18 deg, d = 2.962 Å, I = 80.5, (0 1 5); 36.01 deg, d = 2.494 Å, I = 60.3, (1 0 7); 39.27 deg, d = 2.294 Å, I = 24.2, (0 1 8); 39.90 deg, d = 2.259 Å, I = 100.0, (1 1 0); 46.86 deg, d = 1.939 Å, I = 24.1, (1 1 6); 50.83 deg, d = 1.796 Å, I = 19.1, (2 0 5); 64.30 deg, d = 1.449 Å, I = 23.2, (1 1 12)

***

(3)
Calculated X-ray powder pattern
Compound: Hg4Sb
Radiation: Cu Ka
Structure: a cell relaxed with GGA-PBE

```
data_Hg4Sb
_space_group_name_H-M_alt 'I m -3 m'
_space_group_IT_number 229
_space_group_name_Hall '-I 4 2 3'
_cell_length_a 6.9921
_cell_length_b 6.9921
_cell_length_c 6.9921
_cell_angle_alpha 90.00
_cell_angle_beta 90.00
_cell_angle_gamma 90.00
loop_
_atom_site_label
_atom_site_fract_x
_atom_site_fract_y
_atom_site_fract_z
Hg1 0.2500 0.2500 0.2500
Sb1 0.0000 0.0000 0.0000
```

The 10 most intense peaks (10° ≤ 2θ ≤ 90°), by angle:
17.94 deg, d = 4.944 Å, I = 10.1, (1 1 0); 25.48 deg, d = 3.496 Å, I = 66.7, (2 0 0); 36.34 deg, d = 2.472 Å, I = 100.0, (2 2 0); 44.91 deg, d = 2.018 Å, I = 20.4, (2 2 2); 52.34 deg, d = 1.748 Å, I = 17.8, (4 0 0); 59.09 deg, d = 1.563 Å, I = 27.5, (4 2 0); 65.39 deg, d = 1.427 Å, I = 36.8, (4 2 2); 77.17 deg, d = 1.236 Å, I = 11.7, (4 4 0); 82.83 deg, d = 1.165 Å, I = 13.8, (6 0 0); 88.42 deg, d = 1.106 Å, I = 17.4, (6 2 0)

***

(4)
Calculated X-ray powder pattern
Compound: LaPrEr2Th
Radiation: Cu Ka
Structure: a cell relaxed with GGA-PBE

```
data_LaPrEr2Th
_space_group_name_H-M_alt 'P m m m'
_space_group_IT_number 47
_space_group_name_Hall '-P 2 2'
_cell_length_a 3.5474
_cell_length_b 5.7066
_cell_length_c 8.7611
_cell_angle_alpha 90.00
_cell_angle_beta 90.00
_cell_angle_gamma 90.00
loop_
_atom_site_label
_atom_site_fract_x
_atom_site_fract_y
_atom_site_fract_z
La1 0.0000 0.0000 0.0000
Pr1 0.5000 0.0000 0.5000
Er1 0.0000 0.5000 0.3197
Th1 0.5000 0.5000 0.0000
```

The 10 most intense peaks (10° ≤ 2θ ≤ 90°), by angle:
15.53 deg, d = 5.707 Å, I = 16.8, (0 1 0); 30.61 deg, d = 2.920 Å, I = 13.2, (0 0 3); 31.38 deg, d = 2.850 Å, I = 100.0, (0 2 0); 32.48 deg, d = 2.757 Å, I = 15.1, (1 0 2); 34.50 deg, d = 2.600 Å, I = 20.0, (0 1 3); 36.19 deg, d = 2.482 Å, I = 21.6, (1 1 2); 45.77 deg, d = 1.983 Å, I = 11.8, (1 2 2); 51.54 deg, d = 1.773 Å, I = 10.8, (2 0 0); 55.84 deg, d = 1.646 Å, I = 15.4, (1 3 1); 61.18 deg, d = 1.515 Å, I = 19.1, (1 1 5)